Structure and theoretical powder XRD pattern of Tb6Dy7Y16 (a structure optimized by DFT (PBE); a wavelength of 1.5418 Å).
Peak positions follow from Bragg's law for the DFT cell and can differ from measured ones.

Largest 8 diffraction maxima, by angle, 2θ from 10° to 80°:
| Position (°2θ) | I (rel.) | index |
| --- | --- | --- |
| 15.88 | 8 | 2 2 0 |
| 27.69 | 9 | 4 2 2 |
| 29.41 | 13 | 3 3 3 |
| 32.08 | 100 | 4 4 0 |
| 44.07 | 9 | 7 3 1 |
| 46.00 | 14 | 8 0 0 |
| 57.18 | 26 | 8 4 4 |
| 60.70 | 8 | 7 7 3 |

Atomic structure:
a = 15.7833 Å, b = 15.7833 Å, c = 15.7833 Å
α = 90.00°, β = 90.00°, γ = 90.00°
Space group Fm-3m (No. 225)
Asymmetric unit:
Tb (0.0000, 0.0000, 0.2258) (multiplicity 24)
Dy (0.0000, 0.0000, 0.5000) (multiplicity 4)
Dy (0.0000, 0.2500, 0.2500) (multiplicity 24)
Y (0.1233, 0.1233, 0.3767) (multiplicity 32)
Y (0.1513, 0.1513, 0.1513) (multiplicity 32)